Structure and calculated powder X-ray diffraction pattern of AlTl2Cl6 (a PBE-relaxed structure; Cu Kα (λ = 1.5418 Å)).
Kinematic intensities with the Lorentz-polarization factor, no thermal factor.

Principal peaks in the range 10° ≤ 2θ ≤ 80°, in order of falling intensity:
- 2θ = 25.46°, intensity 100
- 2θ = 18.04°, intensity 98
- 2θ = 30.95°, intensity 94
- 2θ = 24.82°, intensity 66
- 2θ = 36.55°, intensity 65
- 2θ = 17.38°, intensity 59
- 2θ = 30.76°, intensity 39
- 2θ = 31.85°, intensity 36
- 2θ = 40.27°, intensity 35
- 2θ = 35.18°, intensity 30
- 2θ = 43.90°, intensity 21
- 2θ = 25.84°, intensity 21

Cell and atoms:
Lattice parameters (Å, degrees): 6.9984 6.9984 6.9010 117.81 117.81 60.11
Fractional positions:
Al: 0.0000 0.0000 0.0000
Tl: 0.2543 0.2543 0.7770
Tl: 0.7457 0.7457 0.2230
Cl: 0.1873 0.7160 0.1825
Cl: 0.2196 0.2196 0.3062
Cl: 0.2840 0.8127 0.8175
Cl: 0.7160 0.1873 0.1825
Cl: 0.7804 0.7804 0.6938
Cl: 0.8127 0.2840 0.8175

***

Structure and calculated powder X-ray diffraction pattern of Rb2SnAu5 (a PBE-relaxed structure; Cu Kα (λ = 1.5418 Å)).
Kinematic intensities with the Lorentz-polarization factor, no thermal factor.

Principal peaks in the range 10° ≤ 2θ ≤ 80°, in order of falling intensity:
- 2θ = 31.56°, intensity 100
- 2θ = 16.31°, intensity 42
- 2θ = 15.63°, intensity 39
- 2θ = 38.17°, intensity 27
- 2θ = 32.96°, intensity 25
- 2θ = 38.47°, intensity 22
- 2θ = 43.00°, intensity 21
- 2θ = 55.30°, intensity 17
- 2θ = 48.15°, intensity 16
- 2θ = 57.98°, intensity 16
- 2θ = 41.61°, intensity 15
- 2θ = 51.53°, intensity 11

Cell and atoms:
Lattice parameters (Å, degrees): 6.6445 6.6445 7.1892 117.68 117.68 89.57
Fractional positions:
Rb: 0.2497 0.7503 0.0000
Rb: 0.7503 0.2497 0.0000
Sn: 0.0647 0.0647 0.6295
Au: 0.2823 0.2823 0.5011
Au: 0.2851 0.7183 0.5028
Au: 0.3169 0.3169 0.1331
Au: 0.7183 0.2851 0.5028
Au: 0.7189 0.7189 0.5009

***

Structure and calculated powder X-ray diffraction pattern of La4Dy4Tm (a PBE-relaxed structure; Cu Kα (λ = 1.5418 Å)).
Kinematic intensities with the Lorentz-polarization factor, no thermal factor.

Principal peaks in the range 10° ≤ 2θ ≤ 80°, in order of falling intensity:
- 2θ = 30.04°, intensity 100
- 2θ = 30.28°, intensity 98
- 2θ = 50.10°, intensity 36
- 2θ = 34.72°, intensity 34
- 2θ = 34.92°, intensity 34
- 2θ = 35.27°, intensity 33
- 2θ = 59.50°, intensity 29
- 2θ = 59.93°, intensity 28
- 2θ = 50.33°, intensity 24
- 2θ = 59.37°, intensity 15
- 2θ = 60.37°, intensity 14
- 2θ = 62.45°, intensity 12

Cell and atoms:
Lattice parameters (Å, degrees): 8.0602 8.0602 8.1465 107.84 107.84 37.39
Fractional positions:
La: 0.1650 0.1650 0.0015
La: 0.2787 0.2787 0.6664
La: 0.7213 0.7213 0.3336
La: 0.8350 0.8350 0.9985
Dy: 0.0541 0.0541 0.3378
Dy: 0.3921 0.3921 0.3319
Dy: 0.6079 0.6079 0.6681
Dy: 0.9459 0.9459 0.6622
Tm: 0.5000 0.5000 0.0000

***

Structure and calculated powder X-ray diffraction pattern of CsAgBr3 (a PBE-relaxed structure; Cu Kα (λ = 1.5418 Å)).
Kinematic intensities with the Lorentz-polarization factor, no thermal factor.

Principal peaks in the range 10° ≤ 2θ ≤ 80°, in order of falling intensity:
- 2θ = 29.32°, intensity 100
- 2θ = 33.91°, intensity 79
- 2θ = 21.75°, intensity 68
- 2θ = 22.28°, intensity 47
- 2θ = 23.85°, intensity 36
- 2θ = 25.79°, intensity 36
- 2θ = 54.30°, intensity 33
- 2θ = 41.10°, intensity 33
- 2θ = 28.04°, intensity 30
- 2θ = 40.64°, intensity 28
- 2θ = 19.44°, intensity 28
- 2θ = 14.54°, intensity 21

Cell and atoms:
Lattice parameters (Å, degrees): 10.5365 8.1721 10.5794 90.00 120.05 90.00
Fractional positions:
Cs: 0.1774 0.2494 0.0886
Cs: 0.1774 0.2506 0.5886
Cs: 0.8226 0.7494 0.4114
Cs: 0.8226 0.7506 0.9114
Ag: 0.2928 0.6871 0.3965
Ag: 0.2928 0.8129 0.8965
Ag: 0.7072 0.1871 0.1035
Ag: 0.7072 0.3129 0.6035
Br: 0.0467 0.5455 0.2733
Br: 0.0467 0.9545 0.7733
Br: 0.2624 0.7503 0.1314
Br: 0.2624 0.7497 0.6314
Br: 0.4390 0.2456 0.4692
Br: 0.4390 0.2544 0.9692
Br: 0.5610 0.7456 0.0308
Br: 0.5610 0.7544 0.5308
Br: 0.7376 0.2503 0.3686
Br: 0.7376 0.2497 0.8686
Br: 0.9533 0.0455 0.2267
Br: 0.9533 0.4545 0.7267

***

Structure and calculated powder X-ray diffraction pattern of NaAgPOs (a PBE-relaxed structure; Cu Kα (λ = 1.5418 Å)).
Kinematic intensities with the Lorentz-polarization factor, no thermal factor.

Principal peaks in the range 10° ≤ 2θ ≤ 80°, in order of falling intensity:
- 2θ = 16.84°, intensity 100
- 2θ = 36.51°, intensity 82
- 2θ = 47.54°, intensity 34
- 2θ = 32.16°, intensity 33
- 2θ = 46.12°, intensity 25
- 2θ = 49.44°, intensity 25
- 2θ = 34.05°, intensity 20
- 2θ = 58.56°, intensity 17
- 2θ = 79.05°, intensity 17
- 2θ = 62.56°, intensity 17
- 2θ = 69.91°, intensity 9
- 2θ = 72.10°, intensity 8

Cell and atoms:
Lattice parameters (Å, degrees): 3.9363 3.9363 10.5314 90.00 90.00 90.00
Fractional positions:
Na: 0.2500 0.2500 0.2449
Na: 0.7500 0.7500 0.7551
Ag: 0.2500 0.7500 0.0000
Ag: 0.7500 0.2500 0.0000
P: 0.2500 0.2500 0.6240
P: 0.7500 0.7500 0.3760
Os: 0.2500 0.7500 0.5000
Os: 0.7500 0.2500 0.5000

***

Structure and calculated powder X-ray diffraction pattern of Na5PSe4I2 (a PBE-relaxed structure; Cu Kα (λ = 1.5418 Å)).
Kinematic intensities with the Lorentz-polarization factor, no thermal factor.

Principal peaks in the range 10° ≤ 2θ ≤ 80°, in order of falling intensity:
- 2θ = 26.63°, intensity 100
- 2θ = 24.41°, intensity 74
- 2θ = 35.16°, intensity 67
- 2θ = 33.33°, intensity 33
- 2θ = 25.30°, intensity 26
- 2θ = 31.23°, intensity 25
- 2θ = 46.73°, intensity 25
- 2θ = 18.58°, intensity 24
- 2θ = 30.54°, intensity 24
- 2θ = 48.66°, intensity 23
- 2θ = 38.57°, intensity 23
- 2θ = 19.67°, intensity 22

Cell and atoms:
Lattice parameters (Å, degrees): 9.0258 6.7381 6.7381 113.27 90.00 90.00
Fractional positions:
Na: 0.0000 0.0000 0.0000
Na: 0.2744 0.2707 0.6586
Na: 0.2744 0.6586 0.2707
Na: 0.7256 0.2707 0.6586
Na: 0.7256 0.6586 0.2707
P: 0.5000 0.9837 0.9837
Se: 0.3001 0.1618 0.1618
Se: 0.5000 0.6407 0.9575
Se: 0.5000 0.9575 0.6407
Se: 0.6999 0.1618 0.1618
I: 0.0000 0.5182 0.9034
I: 0.0000 0.9034 0.5182